# 1
Starting from a cell relaxed with GGA+U, the powder XRD pattern of FeBiO4 was calculated for Cu Kα.
Neutral-atom scattering factors, no anomalous dispersion.

Cell and atoms:
Cell lengths 6.7159, 6.9022, 3.2783 Å; angles 90.00, 90.00, 90.00 degrees
Space group Cmmm (No. 65)
Inequivalent atoms, fractional coordinates:
Fe 0.0000 0.0000 0.0000 x2
Bi 0.0000 0.5000 0.5000 x2
O 0.0000 0.2966 0.0000 x4
O 0.1841 0.0000 0.5000 x4

The 10 most intense peaks (2θ = 10–90°), sorted by position:
- hkl 1 1 0, 2θ 18.43, I 68
- hkl 0 2 0, 2θ 25.82, I 59
- hkl 2 0 0, 2θ 26.54, I 57
- hkl 1 1 1, 2θ 33.06, I 100
- hkl 2 2 0, 2θ 37.36, I 29
- hkl 0 2 1, 2θ 37.85, I 26
- hkl 2 2 1, 2θ 46.83, I 16
- hkl 1 3 1, 2θ 50.32, I 40
- hkl 3 1 1, 2θ 51.15, I 41
- hkl 3 3 1, 2θ 64.68, I 24


# 2
Starting from a cell relaxed with GGA+U, the powder XRD pattern of FeBi3O7 was calculated for Cu Kα.
Neutral-atom scattering factors, no anomalous dispersion.

Cell and atoms:
Cell lengths 7.7899, 10.6008, 7.5183 Å; angles 90.00, 90.00, 90.00 degrees
Space group C222_1 (No. 20)
Inequivalent atoms, fractional coordinates:
Fe 0.0054 0.0000 0.0000 x4
Bi 0.0413 0.5000 0.0000 x4
Bi 0.2299 0.2300 0.2400 x8
O 0.0000 0.0739 0.2500 x4
O 0.0000 0.3532 0.2500 x4
O 0.0000 0.3581 0.7500 x4
O 0.1860 0.1341 0.9609 x8
O 0.2079 0.1202 0.5357 x8

The 10 most intense peaks (2θ = 10–90°), sorted by position:
- hkl 1 1 0, 2θ 14.11, I 17
- hkl 1 3 0, 2θ 27.68, I 15
- hkl 2 2 0, 2θ 28.44, I 97
- hkl 0 2 2, 2θ 29.12, I 100
- hkl 2 0 2, 2θ 33.12, I 48
- hkl 0 4 0, 2θ 33.82, I 22
- hkl 2 4 2, 2θ 48.06, I 51
- hkl 0 0 4, 2θ 48.43, I 16
- hkl 4 2 2, 2θ 55.94, I 21
- hkl 2 2 4, 2θ 57.12, I 27


# 3
Starting from a cell relaxed with GGA+U, the powder XRD pattern of FeBiPPbO7 was calculated for Cu Kα.
Neutral-atom scattering factors, no anomalous dispersion.

Cell and atoms:
Cell lengths 11.9900, 4.0823, 8.7906 Å; angles 90.00, 119.92, 90.00 degrees
Space group Cm (No. 8)
Inequivalent atoms, fractional coordinates:
Fe 0.0000 0.0000 0.0000 x2
Bi 0.2422 0.0000 0.8083 x2
P 0.0711 0.5000 0.3755 x2
Pb 0.2748 0.5000 0.1887 x2
O 0.0927 0.2391 0.2588 x4
O 0.1600 0.0000 0.0005 x2
O 0.1779 0.5000 0.5656 x2
O 0.3188 0.5000 0.9499 x2
O 0.4353 0.0000 0.3469 x2
O 0.4484 0.0000 0.9099 x2

The 10 most intense peaks (2θ = 10–90°), sorted by position:
- hkl 0 0 1, 2θ 11.61, I 74
- hkl 2 0 0, 2θ 17.06, I 62
- hkl 2 0 -2, 2θ 20.94, I 32
- hkl 1 1 -1, 2θ 24.19, I 40
- hkl 1 1 1, 2θ 28.09, I 100
- hkl 4 0 -1, 2θ 30.31, I 27
- hkl 2 0 -3, 2θ 30.51, I 40
- hkl 3 1 -1, 2θ 31.34, I 33
- hkl 3 1 -2, 2θ 33.12, I 43
- hkl 1 1 -4, 2θ 49.49, I 34


# 4
Starting from a cell relaxed with GGA+U, the powder XRD pattern of PaFeBi2O8 was calculated for Cu Kα.
Neutral-atom scattering factors, no anomalous dispersion.

Cell and atoms:
Cell lengths 6.9650, 6.9650, 7.4315 Å; angles 90.00, 90.00, 90.00 degrees
Space group I-4m2 (No. 119)
Inequivalent atoms, fractional coordinates:
Pa 0.0000 0.0000 0.0000 x2
Fe 0.0000 0.5000 0.2500 x2
Bi 0.0000 0.0000 0.5000 x2
Bi 0.0000 0.5000 0.7500 x2
O 0.0000 0.2011 0.2849 x8
O 0.0000 0.3075 0.9788 x8

The 10 most intense peaks (2θ = 10–90°), sorted by position:
- hkl 2 0 0, 2θ 25.58, I 89
- hkl 1 1 2, 2θ 30.13, I 100
- hkl 2 2 0, 2θ 36.49, I 25
- hkl 3 1 2, 2θ 48.02, I 69
- hkl 4 0 0, 2θ 52.57, I 16
- hkl 2 0 4, 2θ 56.11, I 21
- hkl 4 2 0, 2θ 59.34, I 16
- hkl 3 3 2, 2θ 61.78, I 19
- hkl 5 1 2, 2θ 73.93, I 15
- hkl 4 2 4, 2θ 80.47, I 14


# 5
Starting from a cell relaxed with GGA+U, the powder XRD pattern of Pa2FeBiO8 was calculated for Cu Kα.
Neutral-atom scattering factors, no anomalous dispersion.

Cell and atoms:
Cell lengths 5.4023, 5.4023, 10.9267 Å; angles 90.00, 90.00, 90.00 degrees
Space group I-4 (No. 82)
Inequivalent atoms, fractional coordinates:
Pa 0.0000 0.0000 0.0000 x2
Pa 0.0000 0.5000 0.2500 x2
Fe 0.0000 0.5000 0.7500 x2
Bi 0.0000 0.0000 0.5000 x2
O 0.1925 0.2860 0.1037 x8
O 0.2078 0.2720 0.8474 x8

The 10 most intense peaks (2θ = 10–90°), sorted by position:
- hkl 1 0 1, 2θ 18.32, I 15
- hkl 1 1 2, 2θ 28.51, I 100
- hkl 0 0 4, 2θ 32.78, I 13
- hkl 2 0 0, 2θ 33.17, I 24
- hkl 2 0 4, 2θ 47.33, I 32
- hkl 2 2 0, 2θ 47.61, I 16
- hkl 1 1 6, 2θ 55.93, I 16
- hkl 3 1 2, 2θ 56.43, I 31
- hkl 2 2 4, 2θ 59.01, I 11
- hkl 3 1 6, 2θ 76.45, I 13


# 6
Starting from a cell relaxed with GGA+U, the powder XRD pattern of PaFe2BiO6 was calculated for Cu Kα.
Neutral-atom scattering factors, no anomalous dispersion.

Cell and atoms:
Cell lengths 5.8066, 5.8066, 5.2914 Å; angles 90.00, 90.00, 90.00 degrees
Space group P4mm (No. 99)
Inequivalent atoms, fractional coordinates:
Pa 0.0000 0.0000 0.0000 x1
Fe 0.0000 0.5000 0.3109 x2
Bi 0.5000 0.5000 0.9786 x1
O 0.0000 0.0000 0.6326 x1
O 0.2400 0.2400 0.1797 x4
O 0.5000 0.5000 0.5866 x1

The 10 most intense peaks (2θ = 10–90°), sorted by position:
- hkl 0 0 1, 2θ 16.75, I 59
- hkl 1 1 0, 2θ 21.64, I 47
- hkl 1 1 1, 2θ 27.50, I 100
- hkl 2 0 0, 2θ 30.80, I 44
- hkl 2 0 1, 2θ 35.26, I 26
- hkl 1 1 2, 2θ 40.56, I 43
- hkl 2 2 0, 2θ 44.11, I 26
- hkl 2 0 2, 2θ 46.43, I 19
- hkl 3 1 1, 2θ 52.77, I 34
- hkl 2 0 3, 2θ 61.49, I 42


# 7
Starting from a cell relaxed with GGA+U, the powder XRD pattern of TiFe3Bi3PbO12 was calculated for Cu Kα.
Neutral-atom scattering factors, no anomalous dispersion.

Cell and atoms:
Cell lengths 5.4163, 6.1228, 9.6673 Å; angles 83.17, 74.39, 66.34 degrees
Space group P1 (No. 1)
Inequivalent atoms, fractional coordinates:
Ti 0.0000 0.0000 0.0000 x1
Fe 0.0052 0.4886 0.5002 x1
Fe 0.5040 0.2536 0.7407 x1
Fe 0.5181 0.7455 0.2332 x1
Bi 0.3333 0.8144 0.5946 x1
Bi 0.8243 0.5425 0.8651 x1
Bi 0.8414 0.0435 0.3678 x1
Pb 0.3061 0.3293 0.1147 x1
O 0.1521 0.1869 0.4188 x1
O 0.1647 0.7308 0.9050 x1
O 0.1846 0.4824 0.6567 x1
O 0.1911 0.2204 0.8993 x1
O 0.1934 0.9589 0.1500 x1
O 0.1952 0.7128 0.3997 x1
O 0.6639 0.9901 0.6193 x1
O 0.6751 0.4934 0.6581 x1
O 0.6938 0.7119 0.4005 x1
O 0.6950 0.9715 0.1463 x1
O 0.7039 0.4721 0.1231 x1
O 0.7087 0.2169 0.8934 x1

The 10 most intense peaks (2θ = 10–90°), sorted by position:
- hkl 0 1 1, 2θ 18.37, I 87
- hkl 1 0 2, 2θ 23.13, I 41
- hkl 1 1 -1, 2θ 23.41, I 35
- hkl 1 -1 1, 2θ 28.90, I 76
- hkl 1 0 -2, 2θ 29.78, I 73
- hkl 1 2 0, 2θ 30.06, I 71
- hkl 1 1 3, 2θ 30.47, I 67
- hkl 2 1 1, 2θ 33.14, I 100
- hkl 0 2 2, 2θ 37.23, I 29
- hkl 2 2 -2, 2θ 47.87, I 28


# 8
Starting from a cell relaxed with GGA+U, the powder XRD pattern of TiFeBiPbO6 was calculated for Cu Kα.
Neutral-atom scattering factors, no anomalous dispersion.

Cell and atoms:
Cell lengths 5.4050, 5.4306, 9.4974 Å; angles 90.00, 90.00, 90.00 degrees
Space group Imm2 (No. 44)
Inequivalent atoms, fractional coordinates:
Ti 0.0000 0.0000 0.0000 x2
Fe 0.0000 0.0000 0.5151 x2
Bi 0.0000 0.5000 0.3068 x2
Pb 0.0000 0.5000 0.7740 x2
O 0.0000 0.0000 0.1850 x2
O 0.0000 0.0000 0.7095 x2
O 0.2456 0.2553 0.4448 x8

The 10 most intense peaks (2θ = 10–90°), sorted by position:
- hkl 0 0 2, 2θ 18.69, I 29
- hkl 1 1 0, 2θ 23.22, I 27
- hkl 1 1 2, 2θ 29.97, I 100
- hkl 0 2 0, 2θ 32.99, I 19
- hkl 2 0 0, 2θ 33.15, I 19
- hkl 2 0 2, 2θ 38.32, I 14
- hkl 1 1 4, 2θ 44.91, I 17
- hkl 2 2 0, 2θ 47.47, I 22
- hkl 1 3 2, 2θ 57.05, I 17
- hkl 3 1 2, 2θ 57.26, I 16